The following is a calculated PXRD pattern of NaTlNiCl6. It was derived from DFT lattice parameters and positions (GGA-PBE), using Cu Kα, 1.54184 Å.

Atomic structure:
Unit cell a=6.5269 b=6.5269 c=12.4447 alpha=90.00 beta=90.00 gamma=120.00
Sites, in units of the cell vectors:
Na 0.0000 0.0000 0.0000
Na 0.0000 0.0000 0.5000
Tl 0.3333 0.6667 0.2500
Tl 0.6667 0.3333 0.7500
Ni 0.3333 0.6667 0.7500
Ni 0.6667 0.3333 0.2500
Cl 0.0273 0.3743 0.6365
Cl 0.0273 0.6530 0.8635
Cl 0.3470 0.3743 0.8635
Cl 0.3470 0.9727 0.6365
Cl 0.3743 0.0273 0.1365
Cl 0.3743 0.3470 0.3635
Cl 0.6257 0.6530 0.6365
Cl 0.6257 0.9727 0.8635
Cl 0.6530 0.0273 0.3635
Cl 0.6530 0.6257 0.1365
Cl 0.9727 0.3470 0.1365
Cl 0.9727 0.6257 0.3635

The 12 most intense peaks (2θ from 15° to 90°), sorted by position:
two_theta	intensity	h k l
15.68	52	1 0 0
17.23	47	1 0 1
21.24	80	1 0 2
26.66	28	1 0 3
27.33	28	1 1 0
30.94	100	1 1 2
34.87	20	2 0 2
40.04	90	1 1 4
44.86	23	2 1 2
48.30	37	3 0 0
50.62	22	3 0 2
52.26	28	2 -1 6